(1)
Starting from the GGA-PBE geometry in Alexandria, the powder X-ray diffraction pattern of Ce3SmRu8 was simulated for Cu Kα (weighted mean of Kα1 and Kα2).

Structural model:
```
12
Lattice="2.679 1.547 8.792 -2.679 1.547 8.792 0.000 -3.094 8.792" Properties=species:S:1:pos:R:3 pbc="T T T"
Ce 0.000 0.000 0.000
Ce 0.000 0.000 3.289
Ce 0.000 0.000 16.520
Sm 0.000 0.000 13.213
Ru -1.341 -0.774 10.457
Ru 0.000 -1.543 6.066
Ru -1.337 0.772 6.066
Ru 0.000 0.000 8.268
Ru 1.341 -0.774 10.457
Ru 1.337 0.772 6.066
Ru 0.000 1.548 10.457
Ru 0.000 0.000 21.457
```

Top 6 peaks for 15 to 90 degrees two-theta, in order of rising 2θ:
d/Å	Rel. int.
2.688	25.5
2.679	25.3
2.290	100.0
2.285	33.2
2.189	29.9
1.461	23.8

---

(2)
Starting from the GGA-PBE geometry in Alexandria, the powder X-ray diffraction pattern of Cr2Ni14H9 was simulated for Cu Kα (weighted mean of Kα1 and Kα2).

Structural model:
```
25
Lattice="6.336 0.000 0.000 -3.168 5.487 0.000 0.000 0.000 5.973" Properties=species:S:1:pos:R:3 pbc="T T T"
Cr 0.000 3.658 1.479
Cr 3.168 1.829 4.494
Ni 0.000 0.000 1.595
Ni 0.000 0.000 4.378
Ni -1.652 3.812 5.503
Ni -0.634 2.286 3.507
Ni 0.693 2.150 5.503
Ni -0.871 4.893 3.507
Ni 2.209 0.475 0.470
Ni 1.663 1.692 2.466
Ni 1.505 3.795 3.507
Ni 0.959 5.012 5.503
Ni 4.039 0.594 2.466
Ni 2.475 3.337 0.470
Ni 3.802 3.201 2.466
Ni 4.820 1.675 0.470
H 0.000 0.000 0.000
H -2.324 4.031 3.929
H 0.839 1.459 3.929
H 1.683 0.003 2.044
H 0.000 3.658 5.506
H 3.168 1.829 0.467
H 1.485 5.484 3.929
H 2.329 4.028 2.044
H 5.492 1.456 2.044
```

Top 6 peaks for 15 to 90 degrees two-theta, in order of rising 2θ:
d/Å	Rel. int.
2.493	29.9
2.173	100.0
2.074	20.7
1.959	91.5
1.872	23.0
1.829	19.5

---

(3)
Starting from the GGA-PBE geometry in Alexandria, the powder X-ray diffraction pattern of YThOsI was simulated for Cu Kα (weighted mean of Kα1 and Kα2).

Structural model:
```
12
Lattice="4.176 0.000 0.000 -2.088 3.617 0.000 0.000 0.000 24.227" Properties=species:S:1:pos:R:3 pbc="T T T"
Y 0.000 0.000 0.000
Y 0.000 2.411 16.152
Y 2.088 1.206 8.076
Th 0.000 0.000 5.216
Th 0.000 2.411 21.368
Th 2.088 1.206 13.292
Os 0.000 0.000 14.660
Os 0.000 2.411 6.584
Os 2.088 1.206 22.735
I 0.000 0.000 18.669
I 0.000 2.411 10.593
I 2.088 1.206 2.517
```

Top 6 peaks for 15 to 90 degrees two-theta, in order of rising 2θ:
d/Å	Rel. int.
3.465	48.8
2.898	100.0
2.501	24.3
2.322	21.5
2.088	51.5
1.694	20.8

---

(4)
Starting from the GGA-PBE geometry in Alexandria, the powder X-ray diffraction pattern of Pm5Nd2Dy4 was simulated for Cu Kα (weighted mean of Kα1 and Kα2).

Structural model:
```
11
Lattice="-1.771 4.595 11.787 1.771 -4.595 11.787 1.771 4.595 -11.787" Properties=species:S:1:pos:R:3 pbc="T T T"
Pm 0.000 0.000 0.000
Pm 1.771 1.819 -3.388
Pm 1.771 1.819 3.388
Pm 0.000 2.775 8.399
Pm 0.000 2.775 15.174
Nd 1.771 0.000 6.326
Nd 0.000 4.595 5.461
Dy 1.771 2.864 0.000
Dy 1.771 0.000 9.512
Dy 0.000 4.595 2.275
Dy 0.000 1.731 11.787
```

Top 6 peaks for 15 to 90 degrees two-theta, in order of rising 2θ:
d/Å	Rel. int.
3.182	35.7
2.986	51.5
2.854	65.1
2.785	100.0
2.529	35.0
2.440	46.6

---

(5)
Starting from the GGA-PBE geometry in Alexandria, the powder X-ray diffraction pattern of RbCd6Bi4 was simulated for Cu Kα (weighted mean of Kα1 and Kα2).

Structural model:
```
11
Lattice="-2.620 2.620 13.484 2.620 -2.620 13.484 2.620 2.620 -13.484" Properties=species:S:1:pos:R:3 pbc="T T T"
Rb 0.000 0.000 0.000
Cd 2.620 0.000 3.387
Cd 2.620 0.000 6.742
Cd 2.620 0.000 10.096
Cd 0.000 2.620 3.387
Cd 0.000 2.620 6.742
Cd 0.000 2.620 10.096
Bi 0.000 0.000 5.165
Bi 0.000 0.000 11.654
Bi 0.000 0.000 15.314
Bi 0.000 0.000 21.803
```

Top 6 peaks for 15 to 90 degrees two-theta, in order of rising 2θ:
d/Å	Rel. int.
4.527	35.7
3.758	72.5
2.620	74.5
2.493	100.0
2.149	33.0
1.487	40.0

---

(6)
Starting from the GGA-PBE geometry in Alexandria, the powder X-ray diffraction pattern of Tl4AuI5 was simulated for Cu Kα (weighted mean of Kα1 and Kα2).

Structural model:
```
10
Lattice="-5.387 5.387 3.522 5.387 -5.387 3.522 5.387 5.387 -3.522" Properties=species:S:1:pos:R:3 pbc="T T T"
Tl 7.477 0.961 0.000
Tl 0.961 3.297 0.000
Tl 4.426 2.090 3.522
Tl -2.090 4.426 3.522
Au 0.000 0.000 2.781
I 0.000 0.000 7.043
I 4.352 2.573 0.030
I 2.814 -1.035 3.551
I 2.573 6.422 0.030
I 1.035 2.814 3.551
```

Top 6 peaks for 15 to 90 degrees two-theta, in order of rising 2θ:
d/Å	Rel. int.
3.977	19.4
3.522	49.8
3.407	100.0
2.449	74.4
2.409	35.4
1.988	33.2

---

(7)
Starting from the GGA-PBE geometry in Alexandria, the powder X-ray diffraction pattern of Tb2Sm3Y2 was simulated for Cu Kα (weighted mean of Kα1 and Kα2).

Structural model:
```
7
Lattice="3.546 0.000 0.000 0.000 5.554 0.000 1.763 2.765 11.727" Properties=species:S:1:pos:R:3 pbc="T T T"
Tb 0.887 1.387 4.031
Tb 4.422 6.932 7.696
Sm 2.649 6.930 11.098
Sm 2.654 4.159 5.864
Sm 2.660 1.388 0.629
Y 2.648 4.153 9.197
Y 2.661 4.165 2.530
```

Top 6 peaks for 15 to 90 degrees two-theta, in order of rising 2θ:
d/Å	Rel. int.
2.896	80.0
2.869	100.0
2.829	38.0
2.777	49.5
2.663	27.0
1.982	27.5

---

(8)
Starting from the GGA-PBE geometry in Alexandria, the powder X-ray diffraction pattern of AcHg2PO8 was simulated for Cu Kα (weighted mean of Kα1 and Kα2).

Structural model:
```
12
Lattice="5.265 0.000 0.000 -2.633 4.560 0.000 0.000 0.000 6.719" Properties=species:S:1:pos:R:3 pbc="T T T"
Ac 0.000 0.000 0.000
Hg 0.000 3.040 2.493
Hg 2.633 1.520 4.227
P 0.000 0.000 3.360
O 0.000 1.360 4.368
O -1.455 3.880 4.368
O 1.178 0.680 2.351
O 0.000 3.040 0.372
O 2.633 1.520 6.348
O 1.455 3.880 4.368
O 4.087 0.680 2.351
O 2.633 3.200 2.351
```

Top 6 peaks for 15 to 90 degrees two-theta, in order of rising 2θ:
d/Å	Rel. int.
3.773	100.0
2.705	45.6
2.633	60.3
2.159	35.5
1.887	24.5
1.669	23.1